Calculated powder XRD pattern
Compound: CsTbSiS4
Radiation: a wavelength of 1.5418 Å
Structure: a cell relaxed with GGA-PBE

Structural model:
```
28
Lattice="6.3975 0.0000 0.0000 0.0000 6.7421 0.0000 0.0000 0.0000 17.8420" Properties=species:S:1:pos:R:3 pbc="T T T"
Cs 0.0164 0.0495 0.5730
Cs 3.1823 6.6926 9.4940
Cs 3.2152 3.3215 17.2691
Cs 6.3810 3.4205 8.3480
Tb 1.3274 3.4922 12.9932
Tb 1.8713 3.2499 4.0721
Tb 4.5262 6.6209 4.8489
Tb 5.0700 0.1211 13.7699
Si 1.3442 0.1112 5.9456
Si 1.8546 6.6309 14.8666
Si 4.5429 3.2598 11.8964
Si 5.0533 3.4823 2.9754
S 0.3471 3.4529 1.7084
S 0.4471 5.0587 15.2270
S 0.6599 1.6586 15.0821
S 0.7061 0.4698 3.9360
S 2.4926 6.2723 12.8570
S 2.5389 5.0835 6.1610
S 2.7516 1.6834 6.3060
S 2.8516 3.2892 10.6294
S 3.5459 6.6602 16.1336
S 3.6459 5.0544 2.6150
S 3.8586 1.7125 2.7600
S 3.9049 2.9013 13.9061
S 5.6913 3.8408 4.9850
S 5.7376 5.0296 11.6810
S 5.9503 1.6877 11.5361
S 6.0503 0.0819 7.2126
```

Most intense lines, 2θ from 5° to 70°, low angle first:
Position (°2θ)  d (Å)  I/Imax
9.9  8.921  76.6
19.8  4.491  93.2
21.6  4.117  74.9
23.9  3.720  61.0
26.4  3.371  86.5
29.7  3.011  95.3
31.6  2.829  61.0
33.3  2.691  89.2
40.2  2.246  100.0
43.7  2.072  55.9

Calculated powder XRD pattern
Compound: CsSmS2
Radiation: a wavelength of 1.5418 Å
Structure: a cell relaxed with GGA-PBE

Structural model:
```
4
Lattice="2.0998 1.2123 8.0841 -2.0998 1.2123 8.0841 0.0000 -2.4246 8.0841" Properties=species:S:1:pos:R:3 pbc="T T T"
Cs 0.0000 0.0000 0.0000
Sm 0.0000 0.0000 12.1262
S 0.0000 0.0000 5.5347
S 0.0000 0.0000 18.7177
```

Most intense lines, 2θ from 5° to 70°, low angle first:
Position (°2θ)  d (Å)  I/Imax
22.0  4.042  30.0
25.6  3.484  52.6
28.6  3.119  100.0
38.7  2.329  37.2
43.1  2.100  33.7
44.9  2.019  24.5
48.9  1.863  22.3
52.5  1.742  17.6
59.3  1.559  10.5
64.0  1.456  19.8

Calculated powder XRD pattern
Compound: CsTaS3
Radiation: a wavelength of 1.5418 Å
Structure: a cell relaxed with GGA-PBE

Structural model:
```
10
Lattice="7.4885 0.0000 0.0000 -3.7442 6.4852 0.0000 0.0000 0.0000 6.0613" Properties=species:S:1:pos:R:3 pbc="T T T"
Cs 0.0000 4.3235 0.0000
Cs 3.7443 2.1617 3.0306
Ta 0.0000 0.0000 1.7881
Ta 0.0000 0.0000 4.8187
S 0.0000 1.9832 3.0115
S -2.0267 5.4936 3.0115
S 1.7175 0.9916 6.0422
S 2.0267 5.4936 3.0115
S 5.7710 0.9916 6.0422
S 3.7442 4.5020 6.0422
```

Most intense lines, 2θ from 5° to 70°, low angle first:
Position (°2θ)  d (Å)  I/Imax
13.7  6.485  94.5
20.1  4.428  30.7
23.8  3.744  100.0
31.3  2.859  51.4
32.6  2.746  52.9
40.8  2.214  49.6
41.8  2.162  22.4
47.7  1.906  46.5
48.6  1.872  29.7
59.8  1.547  20.0